[1]
For PrSmTl2Hg2, a crystal structure in OQMD, relaxed with PBE gives the calculated powder diffraction line list in this record (λ = 1.5418 Å (Cu Kα)).
Neutral-atom scattering factors, no anomalous dispersion.

Most intense lines, 10° ≤ 2θ ≤ 80°, sorted by position:
- 23.75 deg, I = 18, (0 1 1)
- 31.22 deg, I = 99, (1 0 2)
- 36.29 deg, I = 100, (1 1 0)
- 40.98 deg, I = 32, (0 1 3)
- 43.46 deg, I = 16, (1 1 2)
- 48.61 deg, I = 29, (0 2 2)
- 60.96 deg, I = 15, (1 1 4)
- 62.14 deg, I = 28, (2 1 2)
- 64.26 deg, I = 15, (0 1 5)
- 65.28 deg, I = 18, (3 0 0)

Atomic structure:
a b c (Å): 4.9511 4.9511 7.7012
angles (deg): 90.00 90.00 120.00
Space group P3m1 (No. 156)
Symmetry-distinct sites (fractional):
Pr1 0.0000 0.0000 0.0000 [1 per cell]
Sm1 0.0000 0.0000 0.4999 [1 per cell]
Tl1 0.3333 0.6667 0.7106 [1 per cell]
Tl2 0.6667 0.3333 0.2160 [1 per cell]
Hg1 0.3333 0.6667 0.3067 [1 per cell]
Hg2 0.6667 0.3333 0.7989 [1 per cell]

=====

[2]
For HgPt7, a crystal structure in OQMD, relaxed with PBE gives the calculated powder diffraction line list in this record (λ = 1.5418 Å (Cu Kα)).
Neutral-atom scattering factors, no anomalous dispersion.

Most intense lines, 10° ≤ 2θ ≤ 80°, sorted by position:
- 37.34 deg, I = 39, (0 1 11)
- 39.51 deg, I = 66, (0 1 12)
- 39.88 deg, I = 100, (1 1 0)
- 43.51 deg, I = 26, (1 0 11)
- 45.44 deg, I = 45, (1 0 12)
- 47.55 deg, I = 25, (0 2 0)
- 66.42 deg, I = 15, (1 2 11)
- 66.72 deg, I = 11, (2 0 0)
- 67.88 deg, I = 28, (1 2 12)
- 76.88 deg, I = 17, (1 1 23)

Atomic structure:
a b c (Å): 2.804 3.824 34.105
angles (deg): 90.00 90.00 90.00
Space group Pmmn (No. 59, origin choice 2)
Symmetry-distinct sites (fractional):
Hg1 0.250 0.250 0.174 [2 per cell]
Pt1 0.250 0.250 0.267 [2 per cell]
Pt2 0.250 0.250 0.352 [2 per cell]
Pt3 0.250 0.250 0.437 [2 per cell]
Pt4 0.250 0.250 0.521 [2 per cell]
Pt5 0.250 0.250 0.605 [2 per cell]
Pt6 0.250 0.250 0.691 [2 per cell]
Pt7 0.250 0.250 0.777 [2 per cell]

=====

[3]
For HgPt8, a crystal structure in OQMD, relaxed with PBE gives the calculated powder diffraction line list in this record (λ = 1.5418 Å (Cu Kα)).
Neutral-atom scattering factors, no anomalous dispersion.

Most intense lines, 10° ≤ 2θ ≤ 80°, sorted by position:
- 36.49 deg, I = 53, (1 1 -8)
- 38.98 deg, I = 100, (1 1 -9)
- 39.62 deg, I = 26, (3 1 2)
- 40.39 deg, I = 93, (3 1 3)
- 42.16 deg, I = 19, (2 0 11)
- 45.21 deg, I = 30, (2 0 12)
- 45.59 deg, I = 32, (4 0 -6)
- 47.64 deg, I = 30, (0 2 0)
- 67.77 deg, I = 19, (2 2 12)
- 68.07 deg, I = 30, (6 0 6)

Atomic structure:
a b c (Å): 8.735 3.818 27.464
angles (deg): 90.00 91.45 90.00
Space group C2/m (No. 12)
Symmetry-distinct sites (fractional):
Hg1 0.054 0.000 0.295 [4 per cell]
Pt1 0.048 0.500 0.119 [4 per cell]
Pt2 0.050 0.000 0.949 [4 per cell]
Pt3 0.056 0.500 0.778 [4 per cell]
Pt4 0.145 0.000 0.187 [4 per cell]
Pt5 0.150 0.500 0.017 [4 per cell]
Pt6 0.153 0.000 0.848 [4 per cell]
Pt7 0.248 0.500 0.253 [4 per cell]
Pt8 0.250 0.000 0.084 [4 per cell]

=====

[4]
For HgPt10, a crystal structure in OQMD, relaxed with PBE gives the calculated powder diffraction line list in this record (λ = 1.5418 Å (Cu Kα)).
Neutral-atom scattering factors, no anomalous dispersion.

Most intense lines, 10° ≤ 2θ ≤ 80°, sorted by position:
- 38.38 deg, I = 100, (1 1 -10)
- 39.73 deg, I = 68, (3 1 3)
- 40.49 deg, I = 58, (3 1 4)
- 40.66 deg, I = 25, (1 1 -11)
- 42.90 deg, I = 24, (2 0 13)
- 44.92 deg, I = 18, (4 0 -6)
- 45.59 deg, I = 24, (2 0 14)
- 46.17 deg, I = 25, (4 0 -7)
- 47.07 deg, I = 29, (0 2 0)
- 68.07 deg, I = 16, (4 2 -7)

Atomic structure:
a b c (Å): 8.739 3.861 31.341
angles (deg): 90.00 90.18 90.00
Space group C2/m (No. 12)
Symmetry-distinct sites (fractional):
Hg1 0.143 0.000 0.316 [4 per cell]
Pt1 0.039 0.500 0.252 [4 per cell]
Pt2 0.049 0.500 0.956 [4 per cell]
Pt3 0.050 0.000 0.103 [4 per cell]
Pt4 0.056 0.000 0.809 [4 per cell]
Pt5 0.147 0.500 0.162 [4 per cell]
Pt6 0.151 0.000 0.015 [4 per cell]
Pt7 0.151 0.500 0.868 [4 per cell]
Pt8 0.159 0.000 0.721 [4 per cell]
Pt9 0.241 0.000 0.221 [4 per cell]
Pt10 0.249 0.000 0.926 [4 per cell]

=====

[5]
For HgPt17, a crystal structure in OQMD, relaxed with PBE gives the calculated powder diffraction line list in this record (λ = 1.5418 Å (Cu Kα)).
Neutral-atom scattering factors, no anomalous dispersion.

Most intense lines, 10° ≤ 2θ ≤ 80°, sorted by position:
- 37.54 deg, I = 32, (0 0 14)
- 39.05 deg, I = 18, (2 0 -4)
- 39.09 deg, I = 33, (1 2 4)
- 39.93 deg, I = 100, (1 2 5)
- 40.33 deg, I = 19, (0 0 15)
- 44.91 deg, I = 33, (1 2 -9)
- 45.06 deg, I = 16, (2 0 9)
- 46.51 deg, I = 35, (1 2 -10)
- 46.67 deg, I = 17, (2 0 10)
- 67.73 deg, I = 26, (3 2 0)

Atomic structure:
a b c (Å): 4.792 5.540 33.543
angles (deg): 90.00 90.22 90.00
Space group P2_1/m (No. 11)
Symmetry-distinct sites (fractional):
Hg1 0.165 0.250 0.297 [2 per cell]
Pt1 0.000 0.000 0.000 [2 per cell]
Pt2 0.000 0.003 0.208 [4 per cell]
Pt3 0.164 0.750 0.862 [2 per cell]
Pt4 0.165 0.250 0.863 [2 per cell]
Pt5 0.167 0.750 0.276 [2 per cell]
Pt6 0.168 0.250 0.069 [2 per cell]
Pt7 0.169 0.750 0.069 [2 per cell]
Pt8 0.332 0.000 0.931 [4 per cell]
Pt9 0.335 0.001 0.138 [4 per cell]
Pt10 0.335 0.004 0.724 [4 per cell]
Pt11 0.494 0.250 0.209 [2 per cell]
Pt12 0.499 0.250 0.793 [2 per cell]
Pt13 0.500 0.250 0.000 [2 per cell]

=====

[6]
For HgPt4, a crystal structure in OQMD, relaxed with PBE gives the calculated powder diffraction line list in this record (λ = 1.5418 Å (Cu Kα)).
Neutral-atom scattering factors, no anomalous dispersion.

Most intense lines, 10° ≤ 2θ ≤ 80°, sorted by position:
- 34.23 deg, I = 7, (2 2 0)
- 37.20 deg, I = 11, (2 0 1)
- 38.42 deg, I = 61, (3 1 0)
- 39.21 deg, I = 100, (2 1 1)
- 53.01 deg, I = 8, (3 2 1)
- 55.46 deg, I = 8, (4 2 0)
- 57.83 deg, I = 11, (0 0 2)
- 59.00 deg, I = 10, (4 1 1)
- 71.58 deg, I = 20, (3 1 2)
- 75.21 deg, I = 23, (5 2 1)

Atomic structure:
a b c (Å): 7.409 7.409 3.189
angles (deg): 90.00 90.00 90.00
Space group P4/mbm (No. 127)
Symmetry-distinct sites (fractional):
Hg1 0.000 0.000 0.000 [2 per cell]
Pt1 0.143 0.357 0.000 [4 per cell]
Pt2 0.154 0.654 0.500 [4 per cell]

=====

[7]
For HgPt7, a crystal structure in OQMD, relaxed with PBE gives the calculated powder diffraction line list in this record (λ = 1.5418 Å (Cu Kα)).
Neutral-atom scattering factors, no anomalous dispersion.

Most intense lines, 10° ≤ 2θ ≤ 80°, sorted by position:
- 36.76 deg, I = 8, (1 0 9)
- 39.03 deg, I = 100, (1 0 11)
- 40.28 deg, I = 35, (1 0 12)
- 45.08 deg, I = 12, (0 0 22)
- 45.53 deg, I = 45, (1 1 0)
- 47.25 deg, I = 10, (0 0 23)
- 66.00 deg, I = 16, (1 1 22)
- 66.34 deg, I = 15, (2 0 0)
- 67.70 deg, I = 13, (1 1 23)
- 79.73 deg, I = 26, (2 1 11)

Atomic structure:
a b c (Å): 2.818 2.818 44.243
angles (deg): 90.00 90.00 90.00
Space group P4/nmm (No. 129, origin choice 2)
Symmetry-distinct sites (fractional):
Hg1 0.250 0.250 0.161 [2 per cell]
Pt1 0.250 0.250 0.257 [2 per cell]
Pt2 0.250 0.250 0.346 [2 per cell]
Pt3 0.250 0.250 0.434 [2 per cell]
Pt4 0.250 0.250 0.522 [2 per cell]
Pt5 0.250 0.250 0.610 [2 per cell]
Pt6 0.250 0.250 0.699 [2 per cell]
Pt7 0.250 0.250 0.788 [2 per cell]

=====

[8]
For HgPt3Se6, a crystal structure in OQMD, relaxed with PBE gives the calculated powder diffraction line list in this record (λ = 1.5418 Å (Cu Kα)).
Neutral-atom scattering factors, no anomalous dispersion.

Most intense lines, 10° ≤ 2θ ≤ 80°, sorted by position:
- 23.95 deg, I = 81, (2 2 0)
- 27.09 deg, I = 90, (0 2 1)
- 30.36 deg, I = 11, (2 0 1)
- 39.40 deg, I = 26, (4 0 0)
- 41.79 deg, I = 100, (2 4 1)
- 47.24 deg, I = 46, (0 0 2)
- 48.47 deg, I = 38, (4 2 1)
- 53.67 deg, I = 19, (2 2 2)
- 63.18 deg, I = 15, (4 0 2)
- 69.03 deg, I = 16, (2 6 2)

Atomic structure:
a b c (Å): 9.148 12.734 3.846
angles (deg): 90.00 90.00 90.00
Space group Cmmm (No. 65)
Symmetry-distinct sites (fractional):
Hg1 0.000 0.000 0.000 [2 per cell]
Pt1 0.000 0.500 0.000 [2 per cell]
Pt2 0.250 0.250 0.500 [4 per cell]
Se1 0.000 0.164 0.500 [4 per cell]
Se2 0.204 0.376 0.000 [8 per cell]